Structure and simulated PXRD pattern of FeHgPb2 (a crystal structure in Alexandria, relaxed with GGA-PBE; Cu Kα (λ = 1.5418 Å)).

Structural model:
```
data_FeHgPb2
_symmetry_space_group_name_H-M 'P 1'
_symmetry_Int_Tables_number 1
_symmetry_space_group_name_Hall 'P 1'
_cell_length_a 3.220
_cell_length_b 3.455
_cell_length_c 9.278
_cell_angle_alpha 90.00
_cell_angle_beta 94.72
_cell_angle_gamma 90.00
loop_
_atom_site_label
_atom_site_fract_x
_atom_site_fract_y
_atom_site_fract_z
Fe1 0.000 0.000 0.000
Hg1 0.500 0.000 0.500
Pb1 0.454 0.500 0.809
Pb2 0.546 0.500 0.191
```

The 10 most intense peaks (2θ = 10–80°), in order of rising 2θ:
2θ (°)  intensity  index
27.56  39.9  0 1 1
27.80  66.1  1 0 0
28.97  54.5  0 0 3
32.35  100.0  0 1 2
38.81  43.3  1 0 -3
38.95  59.1  1 1 -1
42.05  19.4  1 1 -2
42.30  24.4  1 0 3
44.26  35.6  1 1 2
56.43  19.5  0 1 5